Theoretical powder XRD pattern of Sm8H for CuKα, from a PBE-relaxed structure.
No peak broadening, texture or thermal motion is included.

Structure:
a = 7.3713 Å, b = 7.3713 Å, c = 5.8183 Å
α = 90.00°, β = 90.00°, γ = 120.00°
Fractional positions:
Sm (0.1651, 0.3302, 0.2491)
Sm (0.1651, 0.8349, 0.2491)
Sm (0.3302, 0.1651, 0.7509)
Sm (0.3333, 0.6667, 0.7339)
Sm (0.6667, 0.3333, 0.2661)
Sm (0.6698, 0.8349, 0.2491)
Sm (0.8349, 0.1651, 0.7509)
Sm (0.8349, 0.6698, 0.7509)
H (0.0000, 0.0000, 0.5000)

Most intense lines, 2θ = 10–90°, sorted by position:
| (hkl) | 2theta | intensity |
| --- | --- | --- |
| 2 0 0 | 28.0 | 24 |
| 0 0 2 | 30.7 | 24 |
| 0 2 1 | 32.0 | 100 |
| 2 0 2 | 42.0 | 16 |
| 2 2 0 | 49.5 | 20 |
| 0 2 3 | 55.4 | 21 |
| 2 2 2 | 59.4 | 23 |
| 4 0 1 | 60.1 | 16 |
| 2 4 1 | 81.5 | 14 |
| 2 2 4 | 84.9 | 8 |